# CeIn4Pt4
Calculated powder XRD pattern, Cu Ka. Input: the PBE geometry in Alexandria.
Intensities are scaled so that the largest is 100.

Peak list (8 most intense, 10° ≤ 2θ ≤ 90°, in order of rising 2θ)
(1 0 1), 19.2 deg, rel. 27; (1 3 0), 31.8 deg, rel. 100; (1 0 2), 34.8 deg, rel. 41; (2 3 1), 40.2 deg, rel. 32; (1 2 2), 40.4 deg, rel. 22; (3 0 2), 45.5 deg, rel. 34; (4 2 0), 45.6 deg, rel. 27; (3 2 2), 50.1 deg, rel. 26

Crystal structure
```
data_CeIn4Pt4
_cell_length_a 8.9028
_cell_length_b 8.9028
_cell_length_c 5.3903
_cell_angle_alpha 90.00
_cell_angle_beta 90.00
_cell_angle_gamma 90.00
_space_group_name_H-M_alt 'P 42/n'
_space_group_IT_number 86
loop_
_space_group_symop_operation_xyz
'x,y,z'
'-x,-y,-z'
'-y,x+1/2,z+1/2'
'y,-x+1/2,-z+1/2'
'-x+1/2,-y+1/2,z'
'x+1/2,y+1/2,-z'
'y+1/2,-x,z+1/2'
'-y+1/2,x,-z+1/2'
loop_
_atom_site_label
_atom_site_fract_x
_atom_site_fract_y
_atom_site_fract_z
Ce1 0.2500 0.2500 0.2500
In1 0.0932 0.6451 0.1527
Pt1 0.0352 0.6160 0.6571
```



# Ce4InPt2
Calculated powder XRD pattern, Cu Ka. Input: the PBE geometry in Alexandria.
Intensities are scaled so that the largest is 100.

Peak list (8 most intense, 10° ≤ 2θ ≤ 90°, in order of rising 2θ)
(1 0 1), 24.8 deg, rel. 22; (1 0 4), 26.4 deg, rel. 36; (1 0 10), 33.9 deg, rel. 100; (0 1 11), 35.6 deg, rel. 22; (0 1 14), 41.1 deg, rel. 25; (1 1 0), 43.5 deg, rel. 58; (0 2 10), 56.3 deg, rel. 24; (2 1 10), 73.7 deg, rel. 21

Crystal structure
```
data_Ce4InPt2
_cell_length_a 4.1624
_cell_length_b 4.1624
_cell_length_c 38.8092
_cell_angle_alpha 90.00
_cell_angle_beta 90.00
_cell_angle_gamma 120.00
_space_group_name_H-M_alt 'R -3 m'
_space_group_IT_number 166
_space_group_name_Hall '-R 3 2"'
loop_
_atom_site_label
_atom_site_fract_x
_atom_site_fract_y
_atom_site_fract_z
Ce1 0.0000 0.0000 0.1066
Ce2 0.0000 0.0000 0.3093
In1 0.0000 0.0000 0.5000
Pt1 0.0000 0.0000 0.3982
```



# CePu3In4
Calculated powder XRD pattern, Cu Ka. Input: the PBE geometry in Alexandria.
Intensities are scaled so that the largest is 100.

Peak list (8 most intense, 10° ≤ 2θ ≤ 90°, in order of rising 2θ)
(1 1 2), 33.0 deg, rel. 100; (0 2 0), 37.0 deg, rel. 19; (2 0 0), 39.0 deg, rel. 32; (2 2 0), 54.8 deg, rel. 24; (2 0 4), 56.4 deg, rel. 11; (1 3 2), 64.2 deg, rel. 15; (3 1 2), 66.9 deg, rel. 26; (2 2 4), 69.3 deg, rel. 12

Crystal structure
```
data_CePu3In4
_cell_length_a 4.6203
_cell_length_b 4.8621
_cell_length_c 9.2310
_cell_angle_alpha 90.00
_cell_angle_beta 90.00
_cell_angle_gamma 90.00
_space_group_name_H-M_alt 'P m m m'
_space_group_IT_number 47
loop_
_space_group_symop_operation_xyz
'x,y,z'
'-x,-y,-z'
'-x,-y,z'
'x,y,-z'
'x,-y,-z'
'-x,y,z'
'-x,y,-z'
'x,-y,z'
loop_
_atom_site_label
_atom_site_fract_x
_atom_site_fract_y
_atom_site_fract_z
Ce1 0.0000 0.0000 0.0000
Pu1 0.0000 0.0000 0.5000
Pu2 0.5000 0.0000 0.2517
In1 0.0000 0.5000 0.2517
In2 0.5000 0.5000 0.0000
In3 0.5000 0.5000 0.5000
```



# Ce8PuIn3
Calculated powder XRD pattern, Cu Ka. Input: the PBE geometry in Alexandria.
Intensities are scaled so that the largest is 100.

Peak list (8 most intense, 10° ≤ 2θ ≤ 90°, in order of rising 2θ)
(1 0 -2), 30.8 deg, rel. 71; (2 0 2), 33.5 deg, rel. 90; (2 0 -1), 34.3 deg, rel. 41; (2 2 0), 34.4 deg, rel. 79; (1 -2 0), 34.7 deg, rel. 67; (1 2 2), 34.9 deg, rel. 61; (0 2 -2), 36.0 deg, rel. 100; (1 4 0), 54.3 deg, rel. 34

Crystal structure
```
data_Ce8PuIn3
_cell_length_a 6.4963
_cell_length_b 6.7598
_cell_length_c 7.6899
_cell_angle_alpha 88.40
_cell_angle_beta 76.89
_cell_angle_gamma 74.06
_space_group_name_H-M_alt 'P 1'
_space_group_IT_number 1
loop_
_space_group_symop_operation_xyz
'x,y,z'
loop_
_atom_site_label
_atom_site_fract_x
_atom_site_fract_y
_atom_site_fract_z
Ce1 0.0000 0.0000 0.0000
Ce2 0.0096 0.5274 0.6058
Ce3 0.0534 0.4571 0.0362
Ce4 0.2981 0.2192 0.2480
Ce5 0.3968 0.6097 0.6473
Ce6 0.6396 0.3121 0.9700
Ce7 0.7676 0.8288 0.3024
Ce8 0.9269 0.0292 0.5631
Pu1 0.6967 0.3457 0.3901
In1 0.3120 0.7038 0.2483
In2 0.3787 0.1183 0.6710
In3 0.6116 0.8235 0.9197
```



# CePu2In6
Calculated powder XRD pattern, Cu Ka. Input: the PBE geometry in Alexandria.
Intensities are scaled so that the largest is 100.

Peak list (8 most intense, 10° ≤ 2θ ≤ 90°, in order of rising 2θ)
(1 1 0), 19.7 deg, rel. 13; (1 1 3), 33.5 deg, rel. 100; (3 0 0), 34.6 deg, rel. 86; (2 2 3), 48.9 deg, rel. 35; (4 1 3), 61.3 deg, rel. 35; (3 3 0), 61.9 deg, rel. 16; (3 0 6), 66.9 deg, rel. 25; (5 2 3), 82.7 deg, rel. 15

Crystal structure
```
data_CePu2In6
_cell_length_a 8.9916
_cell_length_b 8.9916
_cell_length_c 9.9662
_cell_angle_alpha 90.00
_cell_angle_beta 90.00
_cell_angle_gamma 120.00
_space_group_name_H-M_alt 'R -3 m'
_space_group_IT_number 166
_space_group_name_Hall '-R 3 2"'
loop_
_atom_site_label
_atom_site_fract_x
_atom_site_fract_y
_atom_site_fract_z
Ce1 0.0000 0.0000 0.0000
Pu1 0.0000 0.0000 0.3309
In1 0.0000 0.3323 0.5000
```



# Ce5PuIn5
Calculated powder XRD pattern, Cu Ka. Input: the PBE geometry in Alexandria.
Intensities are scaled so that the largest is 100.

Peak list (8 most intense, 10° ≤ 2θ ≤ 90°, in order of rising 2θ)
(0 0 1), 11.2 deg, rel. 71; (1 1 0), 18.7 deg, rel. 57; (3 1 -3), 32.9 deg, rel. 95; (0 0 3), 34.1 deg, rel. 45; (3 1 1), 34.4 deg, rel. 70; (0 2 0), 34.9 deg, rel. 100; (6 0 -2), 35.5 deg, rel. 84; (6 2 -2), 50.6 deg, rel. 57

Crystal structure
```
data_Ce5PuIn5
_cell_length_a 15.2206
_cell_length_b 5.1366
_cell_length_c 9.6409
_cell_angle_alpha 90.00
_cell_angle_beta 125.04
_cell_angle_gamma 90.00
_space_group_name_H-M_alt 'C 1 2/m 1'
_space_group_IT_number 12
loop_
_space_group_symop_operation_xyz
'x,y,z'
'-x,-y,-z'
'-x,y,-z'
'x,-y,z'
'x+1/2,y+1/2,z'
'-x+1/2,-y+1/2,-z'
'-x+1/2,y+1/2,-z'
'x+1/2,-y+1/2,z'
loop_
_atom_site_label
_atom_site_fract_x
_atom_site_fract_y
_atom_site_fract_z
Ce1 0.0000 0.0000 0.0000
Ce2 0.1288 0.5000 0.3094
Ce3 0.1490 0.5000 0.9679
Pu1 0.0000 0.5000 0.0000
In1 0.0000 0.5000 0.5000
In2 0.0797 0.0000 0.7083
In3 0.2420 0.5000 0.7309
```



# Ce9PuIn2
Calculated powder XRD pattern, Cu Ka. Input: the PBE geometry in Alexandria.
Intensities are scaled so that the largest is 100.

Peak list (8 most intense, 10° ≤ 2θ ≤ 90°, in order of rising 2θ)
(0 0 2), 31.4 deg, rel. 20; (1 1 1), 31.6 deg, rel. 12; (0 6 0), 32.4 deg, rel. 35; (0 2 2), 33.3 deg, rel. 14; (1 3 1), 35.2 deg, rel. 100; (0 4 2), 38.4 deg, rel. 11; (0 6 2), 45.8 deg, rel. 12; (1 9 1), 59.7 deg, rel. 17

Crystal structure
```
data_Ce9PuIn2
_cell_length_a 3.3244
_cell_length_b 16.5564
_cell_length_c 5.6918
_cell_angle_alpha 90.00
_cell_angle_beta 90.00
_cell_angle_gamma 90.00
_space_group_name_H-M_alt 'P m m 2'
_space_group_IT_number 25
loop_
_space_group_symop_operation_xyz
'x,y,z'
'-x,-y,z'
'-x,y,z'
'x,-y,z'
loop_
_atom_site_label
_atom_site_fract_x
_atom_site_fract_y
_atom_site_fract_z
Ce1 0.0000 0.0000 0.0000
Ce2 0.0000 0.1529 0.6046
Ce3 0.0000 0.3373 0.1005
Ce4 0.0000 0.5000 0.5155
Ce5 0.5000 0.1810 0.0685
Ce6 0.5000 0.5000 0.9683
Pu1 0.5000 0.0000 0.4174
In1 0.5000 0.3256 0.6027
```



# Ce5Pu2In2
Calculated powder XRD pattern, Cu Ka. Input: the PBE geometry in Alexandria.
Intensities are scaled so that the largest is 100.

Peak list (8 most intense, 10° ≤ 2θ ≤ 90°, in order of rising 2θ)
(0 1 1), 17.0 deg, rel. 59; (4 1 1), 28.2 deg, rel. 40; (5 1 0), 29.3 deg, rel. 47; (3 3 0), 31.2 deg, rel. 41; (1 1 2), 31.4 deg, rel. 33; (2 3 1), 32.2 deg, rel. 39; (2 2 2), 36.3 deg, rel. 100; (4 3 1), 37.8 deg, rel. 71

Crystal structure
```
data_Ce5Pu2In2
_cell_length_a 15.9436
_cell_length_b 10.2265
_cell_length_c 6.0411
_cell_angle_alpha 90.00
_cell_angle_beta 90.00
_cell_angle_gamma 90.00
_space_group_name_H-M_alt 'I m a 2'
_space_group_IT_number 46
loop_
_space_group_symop_operation_xyz
'x,y,z'
'-x,-y,z'
'-x+1/2,y,z'
'x+1/2,-y,z'
'x+1/2,y+1/2,z+1/2'
'-x+1/2,-y+1/2,z+1/2'
'-x,y+1/2,z+1/2'
'x,-y+1/2,z+1/2'
loop_
_atom_site_label
_atom_site_fract_x
_atom_site_fract_y
_atom_site_fract_z
Ce1 0.0589 0.2232 0.0000
Ce2 0.1423 0.6457 0.6793
Ce3 0.2500 0.1257 0.4060
Pu1 0.0000 0.0000 0.2065
Pu2 0.2500 0.0148 0.0145
In1 0.0908 0.5414 0.1865
```



# Ce2PuIn3
Calculated powder XRD pattern, Cu Ka. Input: the PBE geometry in Alexandria.
Intensities are scaled so that the largest is 100.

Peak list (8 most intense, 10° ≤ 2θ ≤ 90°, in order of rising 2θ)
(1 1 0), 30.1 deg, rel. 100; (1 0 3), 37.1 deg, rel. 90; (2 0 0), 43.1 deg, rel. 38; (1 0 4), 46.1 deg, rel. 16; (2 1 3), 58.1 deg, rel. 49; (2 2 0), 62.6 deg, rel. 15; (2 1 4), 65.0 deg, rel. 11; (3 1 0), 71.0 deg, rel. 24

Crystal structure
```
data_Ce2PuIn3
_cell_length_a 4.1987
_cell_length_b 4.1987
_cell_length_c 8.9107
_cell_angle_alpha 90.00
_cell_angle_beta 90.00
_cell_angle_gamma 90.00
_space_group_name_H-M_alt 'P 4/m m m'
_space_group_IT_number 123
_space_group_name_Hall '-P 4 2'
loop_
_atom_site_label
_atom_site_fract_x
_atom_site_fract_y
_atom_site_fract_z
Ce1 0.0000 0.0000 0.2110
Pu1 0.0000 0.0000 0.5000
In1 0.5000 0.5000 0.0000
In2 0.5000 0.5000 0.3432
```



# Rb2CeInS5
Calculated powder XRD pattern, Cu Ka. Input: the PBE geometry in Alexandria.
Intensities are scaled so that the largest is 100.

Peak list (8 most intense, 10° ≤ 2θ ≤ 90°, in order of rising 2θ)
(0 2 1), 10.9 deg, rel. 45; (0 0 2), 12.3 deg, rel. 35; (0 2 3), 20.6 deg, rel. 54; (1 1 2), 25.5 deg, rel. 31; (1 3 1), 26.5 deg, rel. 37; (0 6 1), 28.0 deg, rel. 68; (1 1 3), 29.1 deg, rel. 100; (1 5 2), 34.1 deg, rel. 34

Crystal structure
```
data_Rb2CeInS5
_cell_length_a 4.0687
_cell_length_b 19.5881
_cell_length_c 14.4308
_cell_angle_alpha 90.00
_cell_angle_beta 90.00
_cell_angle_gamma 90.00
_space_group_name_H-M_alt 'C m c 21'
_space_group_IT_number 36
loop_
_space_group_symop_operation_xyz
'x,y,z'
'-x,-y,z+1/2'
'-x,y,z'
'x,-y,z+1/2'
'x+1/2,y+1/2,z'
'-x+1/2,-y+1/2,z+1/2'
'-x+1/2,y+1/2,z'
'x+1/2,-y+1/2,z+1/2'
loop_
_atom_site_label
_atom_site_fract_x
_atom_site_fract_y
_atom_site_fract_z
Rb1 0.0000 0.1146 0.0000
Rb2 0.0000 0.1390 0.6332
Ce1 0.0000 0.2047 0.3397
In1 0.0000 0.4426 0.7526
S1 0.0000 0.0553 0.3565
S2 0.0000 0.2929 0.9609
S3 0.0000 0.3148 0.7092
S4 0.0000 0.3389 0.3234
S5 0.0000 0.4977 0.1073
```



# RbCeInSe4
Calculated powder XRD pattern, Cu Ka. Input: the PBE geometry in Alexandria.
Intensities are scaled so that the largest is 100.

Peak list (8 most intense, 10° ≤ 2θ ≤ 90°, in order of rising 2θ)
(0 1 1), 15.7 deg, rel. 45; (0 2 0), 25.0 deg, rel. 59; (1 2 0), 28.4 deg, rel. 53; (1 1 2), 29.8 deg, rel. 100; (2 1 -2), 30.3 deg, rel. 98; (1 0 -4), 37.0 deg, rel. 67; (2 1 2), 40.4 deg, rel. 34; (1 3 2), 47.1 deg, rel. 36

Crystal structure
```
data_RbCeInSe4
_cell_length_a 7.0350
_cell_length_b 7.1278
_cell_length_c 9.7124
_cell_angle_alpha 90.00
_cell_angle_beta 109.07
_cell_angle_gamma 90.00
_space_group_name_H-M_alt 'P 1 21/m 1'
_space_group_IT_number 11
loop_
_space_group_symop_operation_xyz
'x,y,z'
'-x,-y,-z'
'-x,y+1/2,-z'
'x,-y+1/2,z'
loop_
_atom_site_label
_atom_site_fract_x
_atom_site_fract_y
_atom_site_fract_z
Rb1 0.2494 0.2500 0.0497
Ce1 0.2230 0.2500 0.5525
In1 0.2353 0.7500 0.3365
Se1 0.0305 0.5186 0.6991
Se2 0.4499 0.7500 0.1693
Se3 0.4878 0.7500 0.5971
```



# Ce2InRh
Calculated powder XRD pattern, Cu Ka. Input: the PBE geometry in Alexandria.
Intensities are scaled so that the largest is 100.

Peak list (8 most intense, 10° ≤ 2θ ≤ 90°, in order of rising 2θ)
(0 2 1), 30.9 deg, rel. 100; (2 0 -2), 31.7 deg, rel. 57; (2 0 2), 32.3 deg, rel. 66; (2 1 -2), 34.8 deg, rel. 52; (2 1 2), 35.4 deg, rel. 38; (2 2 -1), 36.5 deg, rel. 62; (2 2 1), 36.8 deg, rel. 70; (4 0 0), 39.0 deg, rel. 39

Crystal structure
```
data_Ce2InRh
_cell_length_a 9.2374
_cell_length_b 6.3556
_cell_length_c 7.0151
_cell_angle_alpha 90.00
_cell_angle_beta 91.10
_cell_angle_gamma 90.00
_space_group_name_H-M_alt 'P 1 21/c 1'
_space_group_IT_number 14
loop_
_space_group_symop_operation_xyz
'x,y,z'
'-x,-y,-z'
'-x,y+1/2,-z+1/2'
'x,-y+1/2,z+1/2'
loop_
_atom_site_label
_atom_site_fract_x
_atom_site_fract_y
_atom_site_fract_z
Ce1 0.0912 0.1320 0.3183
Ce2 0.3309 0.6457 0.1634
In1 0.3778 0.1550 0.0533
Rh1 0.1336 0.6267 0.4537
```